Computed powder diffraction line list of Os2C3N6 for a wavelength of 1.5418 Å, from a DFT-relaxed cell (PBE, the Materials Project).
Kinematic intensities with the Lorentz-polarization factor, no thermal factor.

Top 12 peaks for 2θ = 10–80°, by intensity:
d 8.506, intensity 100; d 5.094, intensity 53; d 4.444, intensity 31; d 2.743, intensity 28; d 2.482, intensity 22; d 2.873, intensity 17; d 2.003, intensity 15; d 2.835, intensity 15; d 2.178, intensity 14; d 2.522, intensity 14; d 3.270, intensity 9; d 2.126, intensity 8

```
11
Lattice="8.512 -1.666 0.000 8.512 1.666 0.000 -0.189 0.000 5.094" Properties=species:S:1:pos:R:3 pbc="T T T"
Os 2.980 0.000 2.118
Os 13.855 0.000 2.976
C -0.094 0.000 2.547
C 5.413 0.000 0.367
C 11.422 0.000 4.727
N 1.121 0.000 2.446
N 5.065 0.000 1.573
N 5.473 0.000 4.257
N 11.361 0.000 0.838
N 11.769 0.000 3.521
N 15.713 0.000 2.648
```


Computed powder diffraction line list of Pb4CN4 for a wavelength of 1.5418 Å, from a DFT-relaxed cell (PBE, the Materials Project).
Kinematic intensities with the Lorentz-polarization factor, no thermal factor.

Top 12 peaks for 2θ = 10–80°, by intensity:
d 2.897, intensity 100; d 2.844, intensity 76; d 2.940, intensity 54; d 3.157, intensity 46; d 3.434, intensity 46; d 7.054, intensity 39; d 2.682, intensity 33; d 2.801, intensity 31; d 1.508, intensity 29; d 1.898, intensity 23; d 3.700, intensity 19; d 1.765, intensity 19

```
36
Lattice="11.343 0.000 0.000 0.000 3.531 0.000 0.000 0.000 18.014" Properties=species:S:1:pos:R:3 pbc="T T T"
Pb 0.747 0.883 1.413
Pb 0.856 2.648 5.867
Pb 1.505 0.883 9.645
Pb 2.421 2.648 12.665
Pb 3.250 0.883 3.659
Pb 4.167 2.648 0.639
Pb 4.816 0.883 14.874
Pb 4.924 2.648 10.420
Pb 6.419 0.883 7.594
Pb 6.527 2.648 3.140
Pb 7.177 0.883 17.375
Pb 8.093 2.648 14.355
Pb 8.922 0.883 5.348
Pb 9.838 2.648 8.368
Pb 10.488 0.883 12.146
Pb 10.596 2.648 16.600
C 1.985 0.883 16.134
C 3.687 2.648 7.127
C 7.656 0.883 10.887
C 9.359 2.648 1.880
N 0.508 2.648 11.287
N 0.840 0.883 15.651
N 2.356 2.648 2.196
N 2.545 2.648 7.612
N 3.127 0.883 16.619
N 3.316 0.883 11.203
N 4.831 2.648 6.644
N 5.163 0.883 2.280
N 6.180 2.648 15.733
N 6.512 0.883 11.370
N 8.027 2.648 6.811
N 8.216 2.648 1.395
N 8.798 0.883 10.401
N 8.987 0.883 15.817
N 10.503 2.648 2.363
N 10.835 0.883 6.727
```


Computed powder diffraction line list of PbC7N10 for a wavelength of 1.5418 Å, from a DFT-relaxed cell (PBE, the Materials Project).
Kinematic intensities with the Lorentz-polarization factor, no thermal factor.

Top 12 peaks for 2θ = 10–80°, by intensity:
d 5.633, intensity 100; d 2.679, intensity 92; d 2.517, intensity 86; d 5.706, intensity 64; d 4.616, intensity 63; d 4.009, intensity 63; d 2.423, intensity 61; d 3.925, intensity 58; d 3.757, intensity 56; d 2.043, intensity 56; d 3.138, intensity 56; d 2.605, intensity 52

```
36
Lattice="5.873 0.000 0.000 0.000 5.706 0.000 -2.314 0.000 7.849" Properties=species:S:1:pos:R:3 pbc="T T T"
Pb 0.000 0.620 0.000
Pb -1.157 5.086 3.925
C -0.058 2.229 3.132
C -1.215 3.477 7.057
C 0.314 2.160 5.586
C 1.471 3.546 1.661
C 1.530 0.167 2.719
C 0.373 5.539 6.643
C 3.028 2.152 0.092
C 1.871 3.554 4.017
C 1.874 0.144 5.123
C 3.031 5.562 1.198
C 3.381 2.097 2.470
C 2.224 3.609 6.395
C 3.686 2.116 4.978
C 4.843 3.590 1.053
N -1.085 2.352 6.001
N 0.072 3.354 2.077
N 0.352 0.957 2.659
N -0.805 4.750 6.584
N 0.618 2.823 4.324
N 1.775 2.883 0.399
N 0.492 0.722 5.445
N 1.649 4.984 1.520
N 2.815 0.668 0.004
N 1.658 5.039 3.928
N 1.172 2.628 6.652
N 2.329 3.078 2.728
N 2.873 0.731 2.375
N 1.717 4.976 6.300
N 3.999 2.362 1.158
N 2.842 3.344 5.083
N 3.079 0.888 5.178
N 4.236 4.819 1.254
N 4.359 2.267 3.529
N 3.202 3.440 7.453
```